1.
Computed XRD peak list
Compound: ReRh3
Radiation: Cu Kα (weighted mean of Kα1 and Kα2)
Structure: a crystal structure in Alexandria, relaxed with PBE
Intensities are scaled so that the largest is 1000.

Largest 12 diffraction maxima, low angle first, 10 to 90 degrees two-theta:
- 2θ = 27.61°, I = 80
- 2θ = 38.08°, I = 81
- 2θ = 39.46°, I = 437
- 2θ = 40.76°, I = 355
- 2θ = 43.40°, I = 1000
- 2θ = 49.40°, I = 228
- 2θ = 65.91°, I = 95
- 2θ = 68.81°, I = 223
- 2θ = 76.03°, I = 188
- 2θ = 82.33°, I = 51
- 2θ = 83.17°, I = 267
- 2θ = 84.95°, I = 143

Structure:
Cell: 5.458 5.458 8.854 Å, 90.00 90.00 120.00°
Atoms (fractional coordinates):
Re1 0.000 0.000 0.000
Re2 0.000 0.000 0.500
Re3 0.333 0.667 0.250
Re4 0.667 0.333 0.750
Rh1 0.000 0.500 0.000
Rh2 0.000 0.500 0.500
Rh3 0.167 0.334 0.750
Rh4 0.167 0.833 0.750
Rh5 0.334 0.167 0.250
Rh6 0.500 0.000 0.000
Rh7 0.500 0.000 0.500
Rh8 0.500 0.500 0.000
Rh9 0.500 0.500 0.500
Rh10 0.666 0.833 0.750
Rh11 0.833 0.167 0.250
Rh12 0.833 0.666 0.250



2.
Computed XRD peak list
Compound: AgHgS
Radiation: Cu Kα (weighted mean of Kα1 and Kα2)
Structure: a crystal structure in Alexandria, relaxed with PBE
Intensities are scaled so that the largest is 1000.

Largest 12 diffraction maxima, low angle first, 10 to 90 degrees two-theta:
- 2θ = 15.86°, I = 1000
- 2θ = 26.92°, I = 408
- 2θ = 29.98°, I = 406
- 2θ = 30.19°, I = 638
- 2θ = 32.03°, I = 768
- 2θ = 34.96°, I = 945
- 2θ = 36.14°, I = 679
- 2θ = 39.41°, I = 565
- 2θ = 40.92°, I = 315
- 2θ = 45.24°, I = 344
- 2θ = 48.88°, I = 275
- 2θ = 63.47°, I = 288

Structure:
Cell: 6.038 6.038 3.970 Å, 94.59 94.59 67.98°
Atoms (fractional coordinates):
Ag1 0.219 0.781 0.000
Ag2 0.781 0.219 0.000
Hg1 0.164 0.164 0.548
Hg2 0.836 0.836 0.452
S1 0.333 0.333 0.090
S2 0.667 0.667 0.910



3.
Computed XRD peak list
Compound: KCoRu
Radiation: Cu Kα (weighted mean of Kα1 and Kα2)
Structure: a crystal structure in Alexandria, relaxed with PBE
Intensities are scaled so that the largest is 1000.

Largest 12 diffraction maxima, low angle first, 10 to 90 degrees two-theta:
- 2θ = 14.56°, I = 1000
- 2θ = 29.36°, I = 374
- 2θ = 32.68°, I = 439
- 2θ = 40.53°, I = 236
- 2θ = 41.73°, I = 474
- 2θ = 44.45°, I = 345
- 2θ = 49.01°, I = 145
- 2θ = 51.84°, I = 281
- 2θ = 58.63°, I = 161
- 2θ = 63.97°, I = 121
- 2θ = 65.42°, I = 105
- 2θ = 84.56°, I = 108

Structure:
Cell: 6.499 6.499 6.499 Å, 156.36 146.76 41.19°
Atoms (fractional coordinates):
K1 0.000 0.000 0.000
Co1 0.714 0.714 0.000
Ru1 0.280 0.280 0.000



4.
Computed XRD peak list
Compound: K2MgCuAs2
Radiation: Cu Kα (weighted mean of Kα1 and Kα2)
Structure: a crystal structure in Alexandria, relaxed with PBE
Intensities are scaled so that the largest is 1000.

Largest 12 diffraction maxima, low angle first, 10 to 90 degrees two-theta:
- 2θ = 11.15°, I = 866
- 2θ = 15.39°, I = 236
- 2θ = 23.10°, I = 267
- 2θ = 28.44°, I = 160
- 2θ = 28.89°, I = 144
- 2θ = 30.32°, I = 1000
- 2θ = 36.51°, I = 427
- 2θ = 36.87°, I = 383
- 2θ = 40.99°, I = 610
- 2θ = 50.46°, I = 255
- 2θ = 51.55°, I = 208
- 2θ = 52.10°, I = 192

Structure:
Cell: 9.074 9.074 9.074 Å, 140.18 58.08 139.53°
Atoms (fractional coordinates):
K1 0.173 0.247 0.421
K2 0.327 0.747 0.074
K3 0.673 0.253 0.926
K4 0.827 0.753 0.579
Mg1 0.250 0.750 0.500
Mg2 0.750 0.250 0.500
Cu1 0.250 0.250 0.000
Cu2 0.750 0.750 0.000
As1 0.091 0.769 0.860
As2 0.409 0.269 0.678
As3 0.591 0.731 0.322
As4 0.909 0.231 0.140



5.
Computed XRD peak list
Compound: Mg2H7Ir
Radiation: Cu Kα (weighted mean of Kα1 and Kα2)
Structure: a crystal structure in Alexandria, relaxed with PBE
Intensities are scaled so that the largest is 1000.

Largest 12 diffraction maxima, low angle first, 10 to 90 degrees two-theta:
- 2θ = 16.14°, I = 1000
- 2θ = 23.00°, I = 624
- 2θ = 24.85°, I = 949
- 2θ = 31.26°, I = 280
- 2θ = 35.37°, I = 524
- 2θ = 39.23°, I = 410
- 2θ = 42.67°, I = 500
- 2θ = 44.73°, I = 172
- 2θ = 47.00°, I = 177
- 2θ = 49.85°, I = 201
- 2θ = 51.90°, I = 168
- 2θ = 53.84°, I = 170

Structure:
Cell: 6.099 6.099 6.099 Å, 44.24 44.24 44.24°
Atoms (fractional coordinates):
Mg1 0.108 0.108 0.108
Mg2 0.892 0.892 0.892
H1 0.000 0.000 0.000
H2 0.108 0.602 0.602
H3 0.398 0.398 0.892
H4 0.398 0.892 0.398
H5 0.602 0.108 0.602
H6 0.602 0.602 0.108
H7 0.892 0.398 0.398
Ir1 0.500 0.500 0.500



6.
Computed XRD peak list
Compound: U2CoTe6
Radiation: Cu Kα (weighted mean of Kα1 and Kα2)
Structure: a crystal structure in Alexandria, relaxed with PBE
Intensities are scaled so that the largest is 1000.

Largest 12 diffraction maxima, low angle first, 10 to 90 degrees two-theta:
- 2θ = 18.24°, I = 992
- 2θ = 24.90°, I = 249
- 2θ = 28.12°, I = 859
- 2θ = 29.03°, I = 314
- 2θ = 29.62°, I = 173
- 2θ = 36.24°, I = 1000
- 2θ = 36.97°, I = 514
- 2θ = 43.22°, I = 201
- 2θ = 45.09°, I = 657
- 2θ = 47.27°, I = 175
- 2θ = 58.15°, I = 230
- 2θ = 78.26°, I = 267

Structure:
Cell: 6.877 6.877 12.561 Å, 90.00 90.00 90.00°
Atoms (fractional coordinates):
U1 0.000 0.000 0.172
U2 0.000 0.000 0.828
U3 0.500 0.500 0.328
U4 0.500 0.500 0.672
Co1 0.000 0.000 0.500
Co2 0.500 0.500 0.000
Te1 0.195 0.195 0.354
Te2 0.195 0.195 0.646
Te3 0.213 0.213 0.000
Te4 0.287 0.713 0.500
Te5 0.305 0.695 0.146
Te6 0.305 0.695 0.854
Te7 0.695 0.305 0.146
Te8 0.695 0.305 0.854
Te9 0.713 0.287 0.500
Te10 0.787 0.787 0.000
Te11 0.805 0.805 0.354
Te12 0.805 0.805 0.646



7.
Computed XRD peak list
Compound: DyAgF4
Radiation: Cu Kα (weighted mean of Kα1 and Kα2)
Structure: a crystal structure in Alexandria, relaxed with PBE
Intensities are scaled so that the largest is 1000.

Largest 12 diffraction maxima, low angle first, 10 to 90 degrees two-theta:
- 2θ = 16.11°, I = 125
- 2θ = 22.28°, I = 742
- 2θ = 23.43°, I = 581
- 2θ = 29.66°, I = 1000
- 2θ = 32.55°, I = 306
- 2θ = 43.97°, I = 520
- 2θ = 45.25°, I = 399
- 2θ = 47.92°, I = 123
- 2θ = 53.45°, I = 123
- 2θ = 56.06°, I = 115
- 2θ = 56.30°, I = 289
- 2θ = 75.13°, I = 110

Structure:
Cell: 5.508 5.508 3.599 Å, 90.00 90.00 92.85°
Atoms (fractional coordinates):
Dy1 0.000 0.000 0.000
Ag1 0.500 0.500 0.500
F1 0.167 0.833 0.500
F2 0.283 0.283 0.000
F3 0.717 0.717 0.000
F4 0.833 0.167 0.500



8.
Computed XRD peak list
Compound: Ac3DyBi4
Radiation: Cu Kα (weighted mean of Kα1 and Kα2)
Structure: a crystal structure in Alexandria, relaxed with PBE
Intensities are scaled so that the largest is 1000.

Largest 12 diffraction maxima, low angle first, 10 to 90 degrees two-theta:
- 2θ = 26.33°, I = 1000
- 2θ = 37.59°, I = 794
- 2θ = 46.48°, I = 291
- 2θ = 54.21°, I = 138
- 2θ = 61.23°, I = 318
- 2θ = 61.30°, I = 64
- 2θ = 67.80°, I = 165
- 2θ = 67.89°, I = 116
- 2θ = 80.18°, I = 45
- 2θ = 80.28°, I = 43
- 2θ = 86.15°, I = 74
- 2θ = 86.26°, I = 100

Structure:
Cell: 8.284 9.583 8.288 Å, 90.00 109.52 90.00°
Atoms (fractional coordinates):
Ac1 0.000 0.124 0.250
Ac2 0.000 0.372 0.750
Ac3 0.000 0.628 0.250
Ac4 0.000 0.876 0.750
Ac5 0.500 0.373 0.250
Ac6 0.500 0.627 0.750
Dy1 0.500 0.123 0.750
Dy2 0.500 0.877 0.250
Bi1 0.257 0.367 0.508
Bi2 0.257 0.633 0.008
Bi3 0.266 0.116 0.999
Bi4 0.266 0.884 0.499
Bi5 0.734 0.116 0.501
Bi6 0.734 0.884 0.001
Bi7 0.743 0.367 0.992
Bi8 0.743 0.633 0.492



9.
Computed XRD peak list
Compound: GaSiHSN
Radiation: Cu Kα (weighted mean of Kα1 and Kα2)
Structure: a crystal structure in Alexandria, relaxed with PBE
Intensities are scaled so that the largest is 1000.

Largest 12 diffraction maxima, low angle first, 10 to 90 degrees two-theta:
- 2θ = 17.70°, I = 242
- 2θ = 20.47°, I = 1000
- 2θ = 32.62°, I = 598
- 2θ = 33.86°, I = 433
- 2θ = 35.46°, I = 666
- 2θ = 41.61°, I = 195
- 2θ = 43.95°, I = 184
- 2θ = 46.49°, I = 190
- 2θ = 51.31°, I = 262
- 2θ = 57.93°, I = 180
- 2θ = 61.08°, I = 126
- 2θ = 66.14°, I = 151

Structure:
Cell: 4.814 3.118 5.557 Å, 90.00 115.58 90.00°
Atoms (fractional coordinates):
Ga1 0.000 0.000 0.000
Si1 0.363 0.500 0.671
H1 0.195 0.500 0.869
S1 0.947 0.500 0.307
N1 0.552 0.000 0.724



10.
Computed XRD peak list
Compound: LaTb2SbO8
Radiation: Cu Kα (weighted mean of Kα1 and Kα2)
Structure: a crystal structure in Alexandria, relaxed with PBE
Intensities are scaled so that the largest is 1000.

Largest 12 diffraction maxima, low angle first, 10 to 90 degrees two-theta:
- 2θ = 26.30°, I = 635
- 2θ = 28.04°, I = 559
- 2θ = 29.36°, I = 1000
- 2θ = 32.20°, I = 482
- 2θ = 33.93°, I = 201
- 2θ = 43.25°, I = 234
- 2θ = 46.38°, I = 406
- 2θ = 48.54°, I = 330
- 2θ = 48.97°, I = 157
- 2θ = 52.14°, I = 203
- 2θ = 54.13°, I = 237
- 2θ = 57.94°, I = 196

Structure:
Cell: 4.192 7.441 5.296 Å, 90.00 93.69 90.00°
Atoms (fractional coordinates):
La1 0.000 0.000 0.000
Tb1 0.500 0.258 0.500
Tb2 0.500 0.742 0.500
Sb1 0.000 0.500 0.000
O1 0.056 0.291 0.754
O2 0.056 0.709 0.754
O3 0.418 0.500 0.210
O4 0.489 0.000 0.260
O5 0.511 0.000 0.740
O6 0.582 0.500 0.790
O7 0.944 0.291 0.246
O8 0.944 0.709 0.246



11.
Computed XRD peak list
Compound: TbTm3S6
Radiation: Cu Kα (weighted mean of Kα1 and Kα2)
Structure: a crystal structure in Alexandria, relaxed with PBE
Intensities are scaled so that the largest is 1000.

Largest 12 diffraction maxima, low angle first, 10 to 90 degrees two-theta:
- 2θ = 23.86°, I = 809
- 2θ = 24.43°, I = 1000
- 2θ = 26.68°, I = 609
- 2θ = 27.73°, I = 476
- 2θ = 28.02°, I = 512
- 2θ = 31.44°, I = 682
- 2θ = 34.69°, I = 534
- 2θ = 42.84°, I = 589
- 2θ = 44.48°, I = 397
- 2θ = 46.45°, I = 572
- 2θ = 46.93°, I = 323
- 2θ = 53.18°, I = 340

Structure:
Cell: 10.931 3.910 11.189 Å, 90.00 108.84 90.00°
Atoms (fractional coordinates):
Tb1 0.046 0.250 0.192
Tb2 0.954 0.750 0.808
Tm1 0.161 0.250 0.585
Tm2 0.318 0.750 0.998
Tm3 0.435 0.250 0.332
Tm4 0.565 0.750 0.668
Tm5 0.682 0.250 0.002
Tm6 0.839 0.750 0.415
S1 0.082 0.750 0.403
S2 0.113 0.250 0.963
S3 0.194 0.750 0.749
S4 0.258 0.750 0.225
S5 0.397 0.250 0.562
S6 0.477 0.250 0.113
S7 0.523 0.750 0.887
S8 0.603 0.750 0.438
S9 0.742 0.250 0.775
S10 0.806 0.250 0.251
S11 0.887 0.750 0.037
S12 0.918 0.250 0.597



12.
Computed XRD peak list
Compound: Cs5K4Rb4
Radiation: Cu Kα (weighted mean of Kα1 and Kα2)
Structure: a crystal structure in Alexandria, relaxed with PBE
Intensities are scaled so that the largest is 1000.

Largest 12 diffraction maxima, low angle first, 10 to 90 degrees two-theta:
- 2θ = 16.23°, I = 222
- 2θ = 18.82°, I = 280
- 2θ = 21.10°, I = 1000
- 2θ = 21.24°, I = 224
- 2θ = 23.17°, I = 179
- 2θ = 24.26°, I = 272
- 2θ = 24.70°, I = 261
- 2θ = 32.80°, I = 147
- 2θ = 34.90°, I = 209
- 2θ = 37.15°, I = 177
- 2θ = 41.41°, I = 166
- 2θ = 43.20°, I = 154

Structure:
Cell: 13.708 13.708 13.708 Å, 93.97 93.97 149.50°
Atoms (fractional coordinates):
Cs1 0.000 0.000 0.000
Cs2 0.300 0.617 0.916
Cs3 0.383 0.300 0.683
Cs4 0.617 0.700 0.317
Cs5 0.700 0.383 0.084
K1 0.077 0.759 0.836
K2 0.241 0.077 0.317
K3 0.759 0.923 0.683
K4 0.923 0.241 0.164
Rb1 0.104 0.413 0.516
Rb2 0.413 0.896 0.309
Rb3 0.587 0.104 0.691
Rb4 0.896 0.587 0.484